1.
Simulated PXRD pattern
Compound: Ca4MgCoAs4O20
Radiation: Cu Kα X-rays
Structure: a cell relaxed with PBE+U
Lines closer than 0.1° are merged.

Atomic structure:
Cell: 5.4990 6.2736 12.8661 Å, 86.39 86.47 67.75°
Element x y z (fractional)
Ca 0.2175 0.0632 0.3679
Ca 0.2479 0.9302 0.8742
Ca 0.7521 0.0698 0.1258
Ca 0.7825 0.9368 0.6321
Mg 0.5000 0.5000 0.5000
Co 0.0000 0.5000 0.0000
As 0.0749 0.2819 0.6218
As 0.4408 0.7061 0.1250
As 0.5592 0.2939 0.8750
As 0.9251 0.7181 0.3782
O 0.0161 0.6493 0.8816
O 0.0613 0.4526 0.3244
O 0.0778 0.0668 0.7109
O 0.1099 0.7463 0.4769
O 0.1527 0.7738 0.0592
O 0.3381 0.2728 0.9800
O 0.3879 0.2400 0.5703
O 0.4370 0.9198 0.2008
O 0.4553 0.5629 0.8182
O 0.4619 0.3025 0.3824
O 0.5381 0.6975 0.6176
O 0.5447 0.4371 0.1818
O 0.5630 0.0802 0.7992
O 0.6121 0.7600 0.4297
O 0.6619 0.7272 0.0200
O 0.8473 0.2262 0.9408
O 0.8901 0.2537 0.5231
O 0.9222 0.9332 0.2891
O 0.9387 0.5474 0.6756
O 0.9839 0.3507 0.1184

Largest 10 diffraction maxima, in order of falling intensity, 5 to 70 degrees two-theta:
2θ (°)	d/Å	intensity
30.74	2.908	100
27.81	3.208	84
17.04	5.203	47
26.68	3.341	44
31.46	2.843	43
32.71	2.738	43
26.79	3.327	34
51.00	1.791	28
28.90	3.089	27
33.28	2.692	27

2.
Simulated PXRD pattern
Compound: CaCoAs2O7
Radiation: Cu Kα X-rays
Structure: a cell relaxed with PBE+U
Lines closer than 0.1° are merged.

Atomic structure:
Cell: 7.4896 9.0813 9.5064 Å, 90.00 110.85 90.00°
Element x y z (fractional)
Ca 0.2414 0.0648 0.0638
Ca 0.2414 0.4352 0.5638
Ca 0.7586 0.5648 0.4362
Ca 0.7586 0.9352 0.9362
Co 0.3060 0.0531 0.6929
Co 0.3060 0.4469 0.1929
Co 0.6940 0.5531 0.8071
Co 0.6940 0.9469 0.3071
As 0.0814 0.7377 0.7697
As 0.0814 0.7623 0.2697
As 0.4853 0.7027 0.0472
As 0.4853 0.7973 0.5472
As 0.5147 0.2027 0.4528
As 0.5147 0.2973 0.9528
As 0.9186 0.2377 0.7303
As 0.9186 0.2623 0.2303
O 0.0701 0.6347 0.6172
O 0.0701 0.8653 0.1172
O 0.1281 0.2341 0.6977
O 0.1281 0.2659 0.1977
O 0.1640 0.5855 0.2829
O 0.1640 0.9145 0.7829
O 0.2513 0.6441 0.9310
O 0.2513 0.8559 0.4310
O 0.3561 0.1939 0.5440
O 0.3561 0.3061 0.0440
O 0.4799 0.0824 0.3084
O 0.4799 0.4176 0.8084
O 0.4912 0.6172 0.6005
O 0.4912 0.8828 0.1005
O 0.5088 0.1172 0.8995
O 0.5088 0.3828 0.3995
O 0.5201 0.5824 0.1916
O 0.5201 0.9176 0.6916
O 0.6439 0.6939 0.9560
O 0.6439 0.8061 0.4560
O 0.7487 0.1441 0.5690
O 0.7487 0.3559 0.0690
O 0.8360 0.0855 0.2171
O 0.8360 0.4145 0.7171
O 0.8719 0.7341 0.8023
O 0.8719 0.7659 0.3023
O 0.9299 0.1347 0.8828
O 0.9299 0.3653 0.3828

Largest 10 diffraction maxima, in order of falling intensity, 5 to 70 degrees two-theta:
2θ (°)	d/Å	intensity
27.74	3.216	100
27.33	3.263	72
28.03	3.183	68
32.32	2.770	60
19.53	4.546	33
21.15	4.201	32
32.21	2.779	19
29.09	3.070	19
33.84	2.649	18
39.89	2.260	15